1.
This entry pairs a crystal structure of TbYHf2Sb2 with its computed powder XRD pattern. Radiation: Cu Kα X-rays. Structure: a GGA-PBE-relaxed structure.

Lattice parameters (Å, degrees): 4.265 4.265 16.557 90.00 90.00 90.00
Fractional coordinates of all 12 atoms:
Tb 0.000 0.000 0.000
Tb 0.500 0.500 0.500
Y 0.000 0.000 0.647
Y 0.500 0.500 0.147
Hf 0.000 0.500 0.324
Hf 0.000 0.500 0.824
Hf 0.500 0.000 0.324
Hf 0.500 0.000 0.824
Sb 0.000 0.000 0.192
Sb 0.000 0.000 0.455
Sb 0.500 0.500 0.692
Sb 0.500 0.500 0.955

Main lines, in order of rising 2θ (5° ≤ 2θ ≤ 70°):
2θ (°)	I (rel.)
10.69	37.0
31.58	94.5
32.45	33.0
34.28	28.6
36.88	100.0
42.39	54.7
54.36	37.9
55.61	14.1
61.50	18.1
62.56	12.5

=====

2.
This entry pairs a crystal structure of Te6Au3Se4 with its computed powder XRD pattern. Radiation: Cu Kα X-rays. Structure: a GGA-PBE-relaxed structure.

Lattice parameters (Å, degrees): 9.125 9.393 9.480 97.59 107.04 101.77
Fractional coordinates of all 26 atoms:
Te 0.007 0.202 0.241
Te 0.170 0.806 0.363
Te 0.215 0.499 0.694
Te 0.224 0.201 0.945
Te 0.385 0.805 0.067
Te 0.399 0.504 0.307
Te 0.601 0.496 0.693
Te 0.615 0.195 0.933
Te 0.776 0.799 0.055
Te 0.785 0.501 0.306
Te 0.830 0.194 0.637
Te 0.993 0.798 0.759
Au 0.080 0.800 0.060
Au 0.095 0.504 0.315
Au 0.315 0.503 0.001
Au 0.685 0.497 0.999
Au 0.905 0.496 0.685
Au 0.920 0.200 0.940
Se 0.133 0.190 0.632
Se 0.295 0.810 0.755
Se 0.320 0.195 0.248
Se 0.483 0.814 0.372
Se 0.517 0.186 0.628
Se 0.680 0.805 0.752
Se 0.705 0.190 0.245
Se 0.867 0.810 0.368

Main lines, in order of rising 2θ (5° ≤ 2θ ≤ 70°):
2θ (°)	I (rel.)
9.83	28.3
9.97	20.9
29.63	40.2
29.79	100.0
30.01	24.2
30.23	24.1
39.55	15.0
41.59	16.8
42.80	21.1
45.35	34.9

=====

3.
This entry pairs a crystal structure of CsRbZrTe4Au2 with its computed powder XRD pattern. Radiation: Cu Kα X-rays. Structure: a GGA-PBE-relaxed structure.

Lattice parameters (Å, degrees): 6.506 6.504 8.197 90.00 112.73 90.00
Fractional coordinates of all 9 atoms:
Cs 0.000 0.000 0.000
Rb 0.500 0.486 0.000
Zr 0.500 0.740 0.500
Te 0.149 0.496 0.286
Te 0.360 0.986 0.715
Te 0.640 0.986 0.285
Te 0.851 0.496 0.714
Au 0.000 0.743 0.500
Au 0.500 0.242 0.500

Main lines, in order of rising 2θ (5° ≤ 2θ ≤ 70°):
2θ (°)	I (rel.)
11.71	82.3
20.18	67.2
26.12	100.0
26.34	98.1
29.91	47.4
30.03	24.3
36.45	41.1
39.17	93.8
45.54	42.9
56.59	31.5